For GaAu9, a structure optimized by DFT (PBE) gives the computed powder diffractogram in this record (a wavelength of 1.5418 Å).

Largest 10 diffraction maxima, low angle first, 15° ≤ 2θ ≤ 90°:
| hkl | two_theta | d_spacing | I (rel.) |
| --- | --- | --- | --- |
| 1 0 13 | 37.2 | 2.420 | 100 |
| 1 0 14 | 38.1 | 2.361 | 41 |
| 0 0 26 | 41.8 | 2.163 | 12 |
| 0 0 27 | 43.5 | 2.083 | 13 |
| 1 1 0 | 43.9 | 2.064 | 45 |
| 1 1 26 | 62.2 | 1.493 | 15 |
| 1 1 27 | 63.5 | 1.466 | 17 |
| 2 0 0 | 63.8 | 1.459 | 16 |
| 1 0 40 | 75.0 | 1.266 | 14 |
| 2 1 13 | 76.2 | 1.250 | 26 |

Cell and atoms:
a = 2.919 Å, b = 2.919 Å, c = 56.228 Å
α = 90.00°, β = 90.00°, γ = 90.00°
Space group P4/nmm (No. 129, origin choice 2)
Symmetry-distinct sites (fractional):
Ga 0.250 0.250 0.141 (multiplicity 2)
Au 0.250 0.250 0.218 (multiplicity 2)
Au 0.250 0.250 0.293 (multiplicity 2)
Au 0.250 0.250 0.369 (multiplicity 2)
Au 0.250 0.250 0.444 (multiplicity 2)
Au 0.250 0.250 0.519 (multiplicity 2)
Au 0.250 0.250 0.594 (multiplicity 2)
Au 0.250 0.250 0.669 (multiplicity 2)
Au 0.250 0.250 0.745 (multiplicity 2)
Au 0.250 0.250 0.821 (multiplicity 2)

=====

For Ga2Au7, a structure optimized by DFT (PBE) gives the computed powder diffractogram in this record (a wavelength of 1.5418 Å).

Largest 10 diffraction maxima, low angle first, 15° ≤ 2θ ≤ 90°:
| hkl | two_theta | d_spacing | I (rel.) |
| --- | --- | --- | --- |
| 2 1 0 | 35.0 | 2.564 | 13 |
| 1 1 3 | 37.7 | 2.384 | 100 |
| 3 0 0 | 39.9 | 2.262 | 84 |
| 2 0 3 | 40.1 | 2.250 | 19 |
| 2 1 3 | 46.5 | 1.951 | 12 |
| 2 2 3 | 56.0 | 1.641 | 24 |
| 3 2 3 | 67.8 | 1.382 | 14 |
| 4 1 3 | 71.0 | 1.328 | 20 |
| 3 3 0 | 72.4 | 1.306 | 10 |
| 3 0 6 | 76.0 | 1.252 | 25 |

Cell and atoms:
a = 7.8344 Å, b = 7.8344 Å, c = 9.0159 Å
α = 90.00°, β = 90.00°, γ = 120.00°
Space group P-62m (No. 189)
Symmetry-distinct sites (fractional):
Ga 0.0000 0.0000 0.1911 (multiplicity 2)
Ga 0.3333 0.6667 0.3182 (multiplicity 4)
Au 0.0000 0.0000 0.5000 (multiplicity 1)
Au 0.0000 0.3594 0.1690 (multiplicity 6)
Au 0.0000 0.3693 0.5000 (multiplicity 3)
Au 0.0000 0.6851 0.3314 (multiplicity 6)
Au 0.0000 0.7233 0.0000 (multiplicity 3)
Au 0.3333 0.6667 0.0000 (multiplicity 2)

=====

For GdGa2IrAu, a structure optimized by DFT (PBE) gives the computed powder diffractogram in this record (a wavelength of 1.5418 Å).

Largest 10 diffraction maxima, low angle first, 15° ≤ 2θ ≤ 90°:
| hkl | two_theta | d_spacing | I (rel.) |
| --- | --- | --- | --- |
| 1 1 1 | 30.9 | 2.892 | 32 |
| 1 0 3 | 32.7 | 2.738 | 49 |
| 1 1 2 | 34.2 | 2.621 | 100 |
| 2 0 0 | 42.6 | 2.123 | 63 |
| 1 1 4 | 45.3 | 2.002 | 33 |
| 1 0 5 | 47.4 | 1.918 | 25 |
| 2 1 3 | 54.7 | 1.678 | 23 |
| 2 2 0 | 61.8 | 1.501 | 21 |
| 2 1 5 | 65.6 | 1.423 | 19 |
| 3 1 2 | 72.6 | 1.303 | 28 |

Cell and atoms:
a = 4.246 Å, b = 4.246 Å, c = 10.746 Å
α = 90.00°, β = 90.00°, γ = 90.00°
Space group P4/nmm (No. 129, origin choice 2)
Symmetry-distinct sites (fractional):
Gd 0.250 0.250 0.233 (multiplicity 2)
Ga 0.250 0.250 0.644 (multiplicity 2)
Ga 0.250 0.750 0.000 (multiplicity 2)
Ir 0.250 0.250 0.870 (multiplicity 2)
Au 0.250 0.750 0.500 (multiplicity 2)

=====

For LaGdGa2Au2, a structure optimized by DFT (PBE) gives the computed powder diffractogram in this record (a wavelength of 1.5418 Å).

Largest 10 diffraction maxima, low angle first, 15° ≤ 2θ ≤ 90°:
| hkl | two_theta | d_spacing | I (rel.) |
| --- | --- | --- | --- |
| 1 0 0 | 22.3 | 3.989 | 18 |
| 1 0 2 | 33.0 | 2.717 | 100 |
| 1 1 0 | 39.1 | 2.303 | 64 |
| 1 0 3 | 43.0 | 2.102 | 7 |
| 0 0 4 | 49.1 | 1.855 | 9 |
| 2 0 2 | 52.1 | 1.757 | 28 |
| 1 1 4 | 64.5 | 1.445 | 23 |
| 2 1 2 | 67.0 | 1.397 | 26 |
| 3 0 0 | 70.9 | 1.330 | 11 |
| 2 2 0 | 84.1 | 1.152 | 7 |

Cell and atoms:
a = 4.6062 Å, b = 4.6062 Å, c = 7.4216 Å
α = 90.00°, β = 90.00°, γ = 120.00°
Space group P-6m2 (No. 187)
Symmetry-distinct sites (fractional):
La 0.0000 0.0000 0.0000 (multiplicity 1)
Gd 0.0000 0.0000 0.5000 (multiplicity 1)
Ga 0.3333 0.6667 0.2402 (multiplicity 2)
Au 0.6667 0.3333 0.2779 (multiplicity 2)

=====

For NdGd2Ga3PtAu2, a structure optimized by DFT (PBE) gives the computed powder diffractogram in this record (a wavelength of 1.5418 Å).

Largest 10 diffraction maxima, low angle first, 15° ≤ 2θ ≤ 90°:
| hkl | two_theta | d_spacing | I (rel.) |
| --- | --- | --- | --- |
| 0 0 2 | 23.6 | 3.765 | 36 |
| 1 2 0 | 26.4 | 3.371 | 19 |
| 1 0 2 | 32.9 | 2.721 | 78 |
| 1 2 2 | 35.8 | 2.511 | 100 |
| 0 5 1 | 36.4 | 2.465 | 26 |
| 0 6 0 | 41.5 | 2.174 | 50 |
| 1 5 1 | 43.3 | 2.090 | 44 |
| 2 0 0 | 46.1 | 1.969 | 25 |
| 2 6 0 | 63.8 | 1.459 | 28 |
| 1 8 2 | 66.8 | 1.400 | 22 |

Cell and atoms:
a = 3.937 Å, b = 13.064 Å, c = 7.520 Å
α = 90.00°, β = 90.00°, γ = 90.00°
Space group Amm2 (No. 38)
Symmetry-distinct sites (fractional):
Nd 0.000 0.000 0.000 (multiplicity 2)
Gd 0.000 0.201 0.605 (multiplicity 4)
Ga 0.500 0.000 0.650 (multiplicity 2)
Ga 0.500 0.123 0.283 (multiplicity 4)
Pt 0.000 0.000 0.410 (multiplicity 2)
Au 0.500 0.170 0.903 (multiplicity 4)

=====

For Pr2GdZn3Ga2Au, a structure optimized by DFT (PBE) gives the computed powder diffractogram in this record (a wavelength of 1.5418 Å).

Largest 10 diffraction maxima, low angle first, 15° ≤ 2θ ≤ 90°:
| hkl | two_theta | d_spacing | I (rel.) |
| --- | --- | --- | --- |
| 0 2 2 | 28.4 | 3.139 | 25 |
| 1 3 1 | 32.1 | 2.785 | 58 |
| 1 4 0 | 35.3 | 2.546 | 100 |
| 0 1 3 | 37.9 | 2.373 | 25 |
| 2 0 0 | 41.5 | 2.176 | 27 |
| 0 6 0 | 43.2 | 2.093 | 22 |
| 1 4 2 | 43.4 | 2.083 | 26 |
| 1 5 3 | 57.0 | 1.617 | 16 |
| 2 6 0 | 61.5 | 1.508 | 16 |
| 1 1 5 | 68.6 | 1.367 | 23 |

Cell and atoms:
a = 4.352 Å, b = 12.563 Å, c = 7.244 Å
α = 90.00°, β = 90.00°, γ = 90.00°
Space group Amm2 (No. 38)
Symmetry-distinct sites (fractional):
Pr 0.000 0.207 0.000 (multiplicity 4)
Gd 0.000 0.000 0.377 (multiplicity 2)
Zn 0.500 0.000 0.039 (multiplicity 2)
Zn 0.500 0.121 0.667 (multiplicity 4)
Ga 0.500 0.162 0.294 (multiplicity 4)
Au 0.000 0.000 0.784 (multiplicity 2)

=====

For HfScGa2Au2, a structure optimized by DFT (PBE) gives the computed powder diffractogram in this record (a wavelength of 1.5418 Å).

Largest 10 diffraction maxima, low angle first, 15° ≤ 2θ ≤ 90°:
| hkl | two_theta | d_spacing | I (rel.) |
| --- | --- | --- | --- |
| 1 0 0 | 23.2 | 3.842 | 26 |
| 1 0 1 | 27.0 | 3.308 | 15 |
| 0 0 2 | 27.4 | 3.252 | 11 |
| 1 0 2 | 36.2 | 2.482 | 100 |
| 1 1 0 | 40.7 | 2.218 | 75 |
| 1 1 2 | 49.8 | 1.832 | 13 |
| 2 0 2 | 55.6 | 1.654 | 29 |
| 2 1 2 | 71.1 | 1.326 | 28 |
| 1 1 4 | 72.0 | 1.311 | 22 |
| 3 0 0 | 74.0 | 1.281 | 13 |

Cell and atoms:
a = 4.4361 Å, b = 4.4361 Å, c = 6.5044 Å
α = 90.00°, β = 90.00°, γ = 120.00°
Space group P-6m2 (No. 187)
Symmetry-distinct sites (fractional):
Hf 0.0000 0.0000 0.0000 (multiplicity 1)
Sc 0.0000 0.0000 0.5000 (multiplicity 1)
Ga 0.3333 0.6667 0.2137 (multiplicity 2)
Au 0.6667 0.3333 0.2637 (multiplicity 2)

=====

For InGa3Au2, a structure optimized by DFT (PBE) gives the computed powder diffractogram in this record (a wavelength of 1.5418 Å).

Largest 10 diffraction maxima, low angle first, 15° ≤ 2θ ≤ 90°:
| hkl | two_theta | d_spacing | I (rel.) |
| --- | --- | --- | --- |
| 1 0 1 | 24.3 | 3.661 | 72 |
| 2 0 0 | 40.2 | 2.242 | 100 |
| 2 1 1 | 47.6 | 1.912 | 36 |
| 0 0 4 | 58.1 | 1.588 | 5 |
| 2 2 0 | 58.3 | 1.584 | 11 |
| 3 0 1 | 64.0 | 1.455 | 15 |
| 2 0 4 | 73.0 | 1.295 | 11 |
| 3 1 2 | 73.1 | 1.294 | 23 |
| 3 2 1 | 78.4 | 1.220 | 9 |
| 2 2 4 | 86.9 | 1.121 | 7 |

Cell and atoms:
a = 4.480 Å, b = 4.480 Å, c = 6.352 Å
α = 90.00°, β = 90.00°, γ = 90.00°
Space group P-4m2 (No. 115)
Symmetry-distinct sites (fractional):
In 0.000 0.000 0.000 (multiplicity 1)
Ga 0.000 0.000 0.500 (multiplicity 1)
Ga 0.500 0.500 0.000 (multiplicity 1)
Ga 0.500 0.500 0.500 (multiplicity 1)
Au 0.000 0.500 0.734 (multiplicity 2)